(1)
This entry pairs a crystal structure of PtRh3Se with its theoretical powder X-ray diffraction pattern. Radiation: Cu Kα X-rays. Structure: a PBE-relaxed structure.
Lines closer than 0.1° are merged.

Main lines, sorted by position (2θ = 15–90°):
27.98°, rel. 38, hkl 1 1 0
34.45°, rel. 100, hkl 1 1 1
39.99°, rel. 93, hkl 2 0 0
49.52°, rel. 16, hkl 2 1 1
57.84°, rel. 63, hkl 2 2 0
65.46°, rel. 7, hkl 3 1 0
69.09°, rel. 39, hkl 3 1 1
72.63°, rel. 21, hkl 2 2 2
79.54°, rel. 8, hkl 3 2 1
86.30°, rel. 10, hkl 4 0 0

Cell lengths 4.5091, 4.5091, 4.5091 Å; angles 90.00, 90.00, 90.00 degrees
Space group Pm-3m (No. 221)
Symmetry-distinct sites (fractional):
1 Pt 0.0000 0.0000 0.0000 [1 per cell]
2 Rh 0.0000 0.5000 0.5000 [3 per cell]
3 Se 0.5000 0.5000 0.5000 [1 per cell]

***

(2)
This entry pairs a crystal structure of CaGa4Se7 with its theoretical powder X-ray diffraction pattern. Radiation: Cu Kα X-rays. Structure: a PBE-relaxed structure.
Lines closer than 0.1° are merged.

Main lines, sorted by position (2θ = 15–90°):
26.20°, rel. 49, hkl 4 1 0
26.80°, rel. 54, hkl 0 2 0
27.47°, rel. 61, hkl 0 0 2
29.66°, rel. 100, hkl 4 1 1
38.75°, rel. 33, hkl 0 2 2
45.85°, rel. 29, hkl 8 0 0
46.97°, rel. 35, hkl 4 3 0
49.14°, rel. 19, hkl 4 3 1
49.93°, rel. 55, hkl 4 1 3
55.27°, rel. 24, hkl 4 3 2

Cell lengths 15.8326, 6.6530, 6.4947 Å; angles 90.00, 90.00, 90.00 degrees
Space group Pmn2_1 (No. 31)
Symmetry-distinct sites (fractional):
1 Ca 0.0000 0.0715 0.0000 [2 per cell]
2 Ga 0.1220 0.6493 0.8020 [4 per cell]
3 Ga 0.2485 0.8392 0.2892 [4 per cell]
4 Se 0.0000 0.8124 0.6444 [2 per cell]
5 Se 0.1119 0.7270 0.1682 [4 per cell]
6 Se 0.1157 0.2990 0.6993 [4 per cell]
7 Se 0.2462 0.1951 0.1744 [4 per cell]

***

(3)
This entry pairs a crystal structure of Ca2IrRh with its theoretical powder X-ray diffraction pattern. Radiation: Cu Kα X-rays. Structure: a PBE-relaxed structure.
Lines closer than 0.1° are merged.

Main lines, sorted by position (2θ = 15–90°):
16.88°, rel. 36, hkl 2 0 0
18.34°, rel. 45, hkl 0 0 1
20.60°, rel. 83, hkl 2 0 -1
34.15°, rel. 38, hkl 4 0 0
34.36°, rel. 24, hkl 1 1 -1
35.54°, rel. 33, hkl 2 0 -2
37.29°, rel. 100, hkl 1 1 1
39.18°, rel. 45, hkl 3 1 0
39.71°, rel. 53, hkl 3 1 -1
41.90°, rel. 24, hkl 4 0 -2

Cell lengths 11.0865, 3.0487, 5.1071 Å; angles 90.00, 108.66, 90.00 degrees
Space group Cm (No. 8)
Symmetry-distinct sites (fractional):
1 Ca 0.0000 0.0000 0.0000 [2 per cell]
2 Ca 0.2040 0.0000 0.6188 [2 per cell]
3 Ir 0.2574 0.5000 0.1484 [2 per cell]
4 Rh 0.4429 0.0000 0.4676 [2 per cell]

***

(4)
This entry pairs a crystal structure of Al6In with its theoretical powder X-ray diffraction pattern. Radiation: Cu Kα X-rays. Structure: a PBE-relaxed structure.
Lines closer than 0.1° are merged.

Main lines, sorted by position (2θ = 15–90°):
17.06°, rel. 23, hkl 1 1 0
24.22°, rel. 43, hkl 2 0 0
29.78°, rel. 100, hkl 2 1 1
46.22°, rel. 58, hkl 3 2 1
49.62°, rel. 15, hkl 4 0 0
55.96°, rel. 16, hkl 4 2 0
58.95°, rel. 14, hkl 3 3 2
70.14°, rel. 16, hkl 5 2 1
72.80°, rel. 10, hkl 4 4 0
80.59°, rel. 16, hkl 6 1 1

Cell lengths 7.3486, 7.3486, 7.3486 Å; angles 90.00, 90.00, 90.00 degrees
Space group Im-3m (No. 229)
Symmetry-distinct sites (fractional):
1 Al 0.0000 0.2500 0.5000 [12 per cell]
2 In 0.0000 0.0000 0.0000 [2 per cell]